Structure and simulated powder XRD pattern of La2SmNb2N6 (a structure optimized by DFT (GGA-PBE); a wavelength of 1.5418 Å).

Main lines, low angle first (2θ from 10° to 90°):
2theta  I (rel.)
31.11  63
31.55  100
38.80  11
41.67  14
44.57  32
55.63  40
56.45  12
64.87  10
73.69  11
73.96  14

Structure:
```
La2SmNb2N6
1.0
-2.033 2.033 9.896
2.033 -2.033 9.896
2.033 2.033 -9.896
La Sm Nb N
2 1 2 6
direct
0.179 0.179 0.000
0.821 0.821 0.000
0.000 0.000 0.000
0.402 0.402 0.000
0.598 0.598 0.000
0.081 0.581 0.500
0.302 0.302 0.000
0.419 0.919 0.500
0.581 0.081 0.500
0.698 0.698 0.000
0.919 0.419 0.500
```

***

Structure and simulated powder XRD pattern of Nb2AgPt (a structure optimized by DFT (GGA-PBE); a wavelength of 1.5418 Å).

Main lines, low angle first (2θ from 10° to 90°):
2theta  I (rel.)
23.70  9
27.43  3
39.18  100
46.30  5
56.61  17
62.22  2
71.00  34
76.04  2
84.22  11
89.06  2

Structure:
```
Nb2AgPt
1.0
0.000 3.252 3.252
3.252 0.000 3.252
3.252 3.252 0.000
Nb Ag Pt
2 1 1
direct
0.000 0.000 0.000
0.250 0.250 0.250
0.750 0.750 0.750
0.500 0.500 0.500
```

***

Structure and simulated powder XRD pattern of InAgTe2PtS (a structure optimized by DFT (GGA-PBE); a wavelength of 1.5418 Å).

Main lines, low angle first (2θ from 10° to 90°):
2theta  I (rel.)
15.48  17
20.85  27
30.66  100
31.25  52
44.35  69
45.00  17
45.29  19
53.69  16
56.05  20
82.96  17

Structure:
```
InAgTe2PtS
1.0
2.002 -6.380 0.000
2.002 6.380 0.000
0.000 0.000 11.449
In Ag Te Pt S
2 2 4 2 2
direct
0.153 0.847 0.750
0.847 0.153 0.250
0.168 0.832 0.250
0.832 0.168 0.750
0.137 0.863 0.012
0.137 0.863 0.488
0.863 0.137 0.512
0.863 0.137 0.988
0.500 0.500 0.000
0.500 0.500 0.500
0.487 0.513 0.250
0.513 0.487 0.750
```

***

Structure and simulated powder XRD pattern of DyErTa2Ge2 (a structure optimized by DFT (GGA-PBE); a wavelength of 1.5418 Å).

Main lines, low angle first (2θ from 10° to 90°):
2theta  I (rel.)
11.33  30
31.98  39
33.61  100
34.45  33
39.25  80
45.20  51
57.27  17
58.04  30
75.98  19
79.41  21

Structure:
```
DyErTa2Ge2
1.0
4.012 0.000 0.000
0.000 4.012 0.000
0.000 0.000 7.811
Dy Er Ta Ge
1 1 2 2
direct
0.000 0.000 0.000
0.500 0.500 0.298
0.000 0.500 0.648
0.500 0.000 0.648
0.000 0.000 0.402
0.500 0.500 0.895
```